Record 1
This entry pairs a crystal structure of GdYMg3Cu2 with its computed XRD peak list. Radiation: Cu Kα (λ = 1.5418 Å). Structure: a PBE-relaxed structure.
Peak positions follow from Bragg's law for the DFT cell and can differ from measured ones.

Atomic structure:
```
7
Lattice="3.599 0.000 0.000 0.000 2.078 10.464 0.000 -2.078 10.464" Properties=species:S:1:pos:R:3 pbc="T T T"
Gd 0.000 0.000 0.000
Y 0.000 0.000 13.734
Mg 0.000 0.000 17.319
Mg 1.799 0.000 5.240
Mg 1.799 0.000 8.469
Cu 1.799 0.000 2.383
Cu 1.799 0.000 11.352
```

Most intense lines, 2θ = 10–90°, in order of rising 2θ:
two_theta, d [Å], intensity
33.21, 2.698, 67.6
35.42, 2.535, 100.0
35.85, 2.505, 65.3
37.04, 2.427, 42.1
39.51, 2.281, 61.0
43.56, 2.078, 33.0
44.66, 2.029, 29.1
57.64, 1.599, 36.9

Record 2
This entry pairs a crystal structure of PrGdCu2N4 with its computed XRD peak list. Radiation: Cu Kα (λ = 1.5418 Å). Structure: a PBE-relaxed structure.
Peak positions follow from Bragg's law for the DFT cell and can differ from measured ones.

Atomic structure:
```
8
Lattice="3.474 0.000 0.000 0.000 3.474 0.000 0.000 0.000 8.446" Properties=species:S:1:pos:R:3 pbc="T T T"
Pr 0.000 0.000 0.000
Gd 1.737 1.737 3.318
Cu 0.000 1.737 5.850
Cu 1.737 0.000 5.850
N 0.000 0.000 4.627
N 0.000 1.737 1.739
N 1.737 0.000 1.739
N 1.737 1.737 7.128
```

Most intense lines, 2θ = 10–90°, in order of rising 2θ:
two_theta, d [Å], intensity
27.77, 3.213, 100.0
31.79, 2.815, 30.3
33.40, 2.683, 42.1
38.16, 2.359, 24.8
42.58, 2.123, 77.5
50.59, 1.804, 26.5
52.70, 1.737, 29.2
60.60, 1.528, 23.5